Starting from a DFT-relaxed cell (GGA-PBE, Alexandria), the powder XRD pattern of Er4MgScS8 was calculated for copper Kα.
Intensities are scaled so that the largest is 100.

Cell and atoms:
Cell: 7.8866 7.8866 19.0221 Å, 90.00 90.00 120.00°
Space group R3m (No. 160, hexagonal axes)
Asymmetric unit:
Er  0.0000  0.0000  0.0000
Er  0.1700  0.3401  0.2098
Mg  0.0000  0.0000  0.7531
Sc  0.0000  0.0000  0.3808
S  0.0000  0.0000  0.1349
S  0.0000  0.0000  0.6230
S  0.0162  0.5081  0.1265
S  0.1810  0.3619  0.9608

Main lines, low angle first (5° ≤ 2θ ≤ 70°):
2θ 13.97, intensity 48, hkl 0 0 3
2θ 15.98, intensity 32, hkl 0 1 2
2θ 22.79, intensity 40, hkl 1 0 4
2θ 26.52, intensity 100, hkl 0 2 1
2θ 26.62, intensity 69, hkl 1 1 3
2θ 26.82, intensity 35, hkl 0 1 5
2θ 32.27, intensity 65, hkl 0 2 4
2θ 42.51, intensity 29, hkl 0 2 7
2θ 46.03, intensity 60, hkl 2 2 0
2θ 46.54, intensity 59, hkl 2 0 8

---

Starting from a DFT-relaxed cell (GGA-PBE, Alexandria), the powder XRD pattern of Cs3Cd2Pb8 was calculated for copper Kα.
Intensities are scaled so that the largest is 100.

Cell and atoms:
Cell: 6.9471 6.9471 40.2086 Å, 90.00 90.00 120.00°
Space group R-3m (No. 166, hexagonal axes)
Asymmetric unit:
Cs  0.0000  0.0000  0.0000
Cs  0.0000  0.0000  0.2444
Cd  0.0000  0.0000  0.4094
Pb  0.0000  0.0000  0.3378
Pb  0.0087  0.5043  0.8036

Main lines, low angle first (5° ≤ 2θ ≤ 70°):
2θ 6.59, intensity 100, hkl 0 0 3
2θ 13.21, intensity 33, hkl 0 0 6
2θ 23.06, intensity 32, hkl 0 1 8
2θ 26.51, intensity 95, hkl 1 1 3
2θ 30.04, intensity 61, hkl 2 0 2
2θ 31.76, intensity 81, hkl 2 0 5
2θ 37.30, intensity 96, hkl 1 1 12
2θ 41.89, intensity 32, hkl 0 2 13
2θ 45.78, intensity 33, hkl 0 3 3
2θ 52.70, intensity 47, hkl 2 2 0

---

Starting from a DFT-relaxed cell (GGA-PBE, Alexandria), the powder XRD pattern of Ba4La2Cu6O13 was calculated for copper Kα.
Intensities are scaled so that the largest is 100.

Cell and atoms:
Cell: 7.831 7.978 24.162 Å, 90.00 90.00 90.00°
Space group Fmmm (No. 69)
Asymmetric unit:
Ba  0.243  0.000  0.094
La  0.250  0.000  0.250
Cu  0.000  0.238  0.000
Cu  0.000  0.248  0.323
O  0.000  0.000  0.000
O  0.000  0.000  0.183
O  0.000  0.000  0.314
O  0.000  0.227  0.425
O  0.250  0.250  0.185

Main lines, low angle first (5° ≤ 2θ ≤ 70°):
2θ 7.32, intensity 23, hkl 0 0 2
2θ 31.57, intensity 94, hkl 0 2 6
2θ 31.88, intensity 98, hkl 2 0 6
2θ 32.03, intensity 100, hkl 2 2 0
2θ 39.24, intensity 26, hkl 2 2 6
2θ 45.48, intensity 29, hkl 0 4 0
2θ 46.38, intensity 27, hkl 4 0 0
2θ 56.32, intensity 29, hkl 2 2 12
2θ 56.61, intensity 37, hkl 2 4 6
2θ 57.19, intensity 34, hkl 4 2 6

---

Starting from a DFT-relaxed cell (GGA-PBE, Alexandria), the powder XRD pattern of TlIn5Hg8 was calculated for copper Kα.
Intensities are scaled so that the largest is 100.

Cell and atoms:
Cell: 9.138 9.138 9.181 Å, 90.00 90.00 90.00°
Space group I-4 (No. 82)
Asymmetric unit:
Tl  0.000  0.000  0.000
In  0.000  0.500  0.750
In  0.134  0.755  0.366
Hg  0.072  0.664  0.048
Hg  0.082  0.825  0.690

Main lines, low angle first (5° ≤ 2θ ≤ 70°):
2θ 23.82, intensity 18, hkl 2 1 1
2θ 30.81, intensity 55, hkl 1 0 3
2θ 30.94, intensity 100, hkl 3 0 1
2θ 36.73, intensity 76, hkl 1 3 2
2θ 36.79, intensity 44, hkl 2 3 1
2θ 48.78, intensity 21, hkl 4 2 2
2θ 50.92, intensity 23, hkl 3 4 1
2θ 62.64, intensity 27, hkl 6 1 1
2θ 64.48, intensity 15, hkl 2 6 0
2θ 66.11, intensity 17, hkl 4 1 5

---

Starting from a DFT-relaxed cell (GGA-PBE, Alexandria), the powder XRD pattern of TcIr4Rh was calculated for copper Kα.
Intensities are scaled so that the largest is 100.

Cell and atoms:
Cell: 2.726 3.878 8.202 Å, 90.00 90.00 90.00°
Space group Pmmm (No. 47)
Asymmetric unit:
Tc  0.000  0.000  0.000
Ir  0.000  0.000  0.331
Ir  0.500  0.500  0.164
Rh  0.500  0.500  0.500

Main lines, low angle first (5° ≤ 2θ ≤ 70°):
2θ 21.67, intensity 4, hkl 0 0 2
2θ 25.41, intensity 5, hkl 0 1 1
2θ 34.68, intensity 2, hkl 1 0 1
2θ 40.41, intensity 100, hkl 1 1 0
2θ 46.34, intensity 2, hkl 1 1 2
2θ 46.86, intensity 16, hkl 0 2 0
2θ 47.07, intensity 32, hkl 1 0 3
2θ 61.40, intensity 1, hkl 0 1 5
2θ 68.61, intensity 26, hkl 1 2 3
2θ 68.89, intensity 5, hkl 2 0 0

---

Starting from a DFT-relaxed cell (GGA-PBE, Alexandria), the powder XRD pattern of Tm8Ru5Au was calculated for copper Kα.
Intensities are scaled so that the largest is 100.

Cell and atoms:
Cell: 8.510 8.510 8.406 Å, 90.00 90.00 90.00°
Space group I-4 (No. 82)
Asymmetric unit:
Tm  0.066  0.174  0.303
Tm  0.072  0.315  0.926
Ru  0.000  0.000  0.000
Ru  0.142  0.249  0.611
Au  0.000  0.500  0.250

Main lines, low angle first (5° ≤ 2θ ≤ 70°):
2θ 29.88, intensity 15, hkl 2 0 2
2θ 33.32, intensity 100, hkl 3 0 1
2θ 33.67, intensity 50, hkl 1 0 3
2θ 39.66, intensity 34, hkl 2 3 1
2θ 39.77, intensity 39, hkl 3 1 2
2θ 39.95, intensity 21, hkl 1 2 3
2θ 52.81, intensity 14, hkl 4 2 2
2θ 55.05, intensity 18, hkl 3 4 1
2θ 55.48, intensity 13, hkl 1 3 4
2θ 67.95, intensity 16, hkl 6 1 1

---

Starting from a DFT-relaxed cell (GGA-PBE, Alexandria), the powder XRD pattern of Dy4Tl2Ni was calculated for copper Kα.
Intensities are scaled so that the largest is 100.

Cell and atoms:
Cell: 6.822 3.746 8.335 Å, 90.00 104.49 90.00°
Space group P2/m (No. 10)
Asymmetric unit:
Dy  0.162  0.000  0.338
Dy  0.247  0.500  0.974
Tl  0.408  0.500  0.656
Ni  0.000  0.000  0.000

Main lines, low angle first (5° ≤ 2θ ≤ 70°):
2θ 27.37, intensity 93, hkl 1 1 0
2θ 30.38, intensity 78, hkl 2 0 -2
2θ 30.84, intensity 100, hkl 1 1 1
2θ 31.74, intensity 66, hkl 2 0 1
2θ 33.14, intensity 42, hkl 1 1 -2
2θ 33.31, intensity 100, hkl 0 0 3
2θ 38.93, intensity 39, hkl 2 1 -2
2θ 40.03, intensity 39, hkl 2 1 1
2θ 40.78, intensity 61, hkl 1 1 -3
2θ 60.21, intensity 39, hkl 0 2 3

---

Repeat the fourth record exactly.
Starting from a DFT-relaxed cell (GGA-PBE, Alexandria), the powder XRD pattern of TlIn5Hg8 was calculated for copper Kα.
Intensities are scaled so that the largest is 100.

Cell and atoms:
Cell: 9.138 9.138 9.181 Å, 90.00 90.00 90.00°
Space group I-4 (No. 82)
Asymmetric unit:
Tl  0.000  0.000  0.000
In  0.000  0.500  0.750
In  0.134  0.755  0.366
Hg  0.072  0.664  0.048
Hg  0.082  0.825  0.690

Main lines, low angle first (5° ≤ 2θ ≤ 70°):
2θ 23.82, intensity 18, hkl 2 1 1
2θ 30.81, intensity 55, hkl 1 0 3
2θ 30.94, intensity 100, hkl 3 0 1
2θ 36.73, intensity 76, hkl 1 3 2
2θ 36.79, intensity 44, hkl 2 3 1
2θ 48.78, intensity 21, hkl 4 2 2
2θ 50.92, intensity 23, hkl 3 4 1
2θ 62.64, intensity 27, hkl 6 1 1
2θ 64.48, intensity 15, hkl 2 6 0
2θ 66.11, intensity 17, hkl 4 1 5